Structure and computed X-ray diffraction stick pattern of PrYSi2O7 (a structure optimized by DFT (PBE); Cu Kα (weighted mean of Kα1 and Kα2)).

a = 5.589 Å, b = 9.507 Å, c = 12.781 Å
α = 90.00°, β = 113.54°, γ = 90.00°
Element x y z (fractional)
Pr: 0.068 0.192 0.317
Pr: 0.068 0.308 0.817
Pr: 0.932 0.692 0.183
Pr: 0.932 0.808 0.683
Y: 0.356 0.125 0.638
Y: 0.356 0.375 0.138
Y: 0.644 0.625 0.862
Y: 0.644 0.875 0.362
Si: 0.242 0.654 0.957
Si: 0.242 0.846 0.457
Si: 0.446 0.515 0.399
Si: 0.446 0.985 0.899
Si: 0.554 0.015 0.101
Si: 0.554 0.485 0.601
Si: 0.758 0.154 0.543
Si: 0.758 0.346 0.043
O: 0.005 0.243 0.119
O: 0.005 0.257 0.619
O: 0.173 0.595 0.063
O: 0.173 0.905 0.563
O: 0.235 0.540 0.852
O: 0.235 0.960 0.352
O: 0.274 0.001 0.983
O: 0.274 0.499 0.483
O: 0.368 0.121 0.813
O: 0.368 0.379 0.313
O: 0.406 0.650 0.314
O: 0.406 0.850 0.814
O: 0.450 0.199 0.492
O: 0.450 0.301 0.992
O: 0.550 0.699 0.008
O: 0.550 0.801 0.508
O: 0.594 0.150 0.186
O: 0.594 0.350 0.686
O: 0.632 0.621 0.687
O: 0.632 0.879 0.187
O: 0.726 0.501 0.517
O: 0.726 0.999 0.017
O: 0.765 0.040 0.648
O: 0.765 0.460 0.148
O: 0.827 0.095 0.437
O: 0.827 0.405 0.937
O: 0.995 0.743 0.381
O: 0.995 0.757 0.881

Most intense lines, 2θ = 10–80°, in order of rising 2θ:
2θ 12.0, I 65
2θ 24.6, I 100
2θ 28.9, I 87
2θ 29.2, I 63
2θ 30.0, I 87
2θ 32.0, I 67


Structure and computed X-ray diffraction stick pattern of PrYSi2O7 (a structure optimized by DFT (PBE); Cu Kα (weighted mean of Kα1 and Kα2)).

a = 6.144 Å, b = 10.737 Å, c = 11.473 Å
α = 90.00°, β = 108.48°, γ = 90.00°
Element x y z (fractional)
Pr: 0.181 0.136 0.284
Pr: 0.181 0.364 0.784
Pr: 0.819 0.636 0.216
Pr: 0.819 0.864 0.716
Y: 0.308 0.623 0.554
Y: 0.308 0.877 0.054
Y: 0.692 0.123 0.946
Y: 0.692 0.377 0.446
Si: 0.215 0.151 0.977
Si: 0.215 0.349 0.477
Si: 0.384 0.706 0.839
Si: 0.384 0.794 0.339
Si: 0.616 0.206 0.661
Si: 0.616 0.294 0.161
Si: 0.785 0.651 0.523
Si: 0.785 0.849 0.023
O: 0.015 0.723 0.603
O: 0.015 0.777 0.103
O: 0.173 0.071 0.088
O: 0.173 0.429 0.588
O: 0.180 0.706 0.360
O: 0.180 0.794 0.860
O: 0.319 0.560 0.825
O: 0.319 0.940 0.325
O: 0.325 0.053 0.904
O: 0.325 0.447 0.404
O: 0.411 0.233 0.520
O: 0.411 0.267 0.020
O: 0.495 0.749 0.732
O: 0.495 0.751 0.232
O: 0.505 0.249 0.768
O: 0.505 0.251 0.268
O: 0.589 0.733 0.980
O: 0.589 0.767 0.480
O: 0.675 0.553 0.596
O: 0.675 0.947 0.096
O: 0.681 0.060 0.675
O: 0.681 0.440 0.175
O: 0.820 0.206 0.140
O: 0.820 0.294 0.640
O: 0.827 0.571 0.412
O: 0.827 0.929 0.912
O: 0.985 0.223 0.897
O: 0.985 0.277 0.397

Most intense lines, 2θ = 10–80°, in order of rising 2θ:
2θ 11.6, I 100
2θ 17.0, I 65
2θ 18.4, I 64
2θ 21.1, I 64
2θ 22.2, I 74
2θ 29.7, I 70


Structure and computed X-ray diffraction stick pattern of Pr2Sn2O7 (a structure optimized by DFT (PBE); Cu Kα (weighted mean of Kα1 and Kα2)).

a = 7.611 Å, b = 7.611 Å, c = 7.611 Å
α = 60.00°, β = 60.00°, γ = 60.00°
Element x y z (fractional)
Pr: 0.000 0.000 0.000
Pr: 0.000 0.000 0.500
Pr: 0.000 0.500 0.000
Pr: 0.500 0.000 0.000
Sn: 0.000 0.500 0.500
Sn: 0.500 0.000 0.500
Sn: 0.500 0.500 0.000
Sn: 0.500 0.500 0.500
O: 0.125 0.125 0.125
O: 0.167 0.167 0.583
O: 0.167 0.583 0.167
O: 0.167 0.583 0.583
O: 0.417 0.417 0.833
O: 0.417 0.833 0.417
O: 0.417 0.833 0.833
O: 0.583 0.167 0.167
O: 0.583 0.167 0.583
O: 0.583 0.583 0.167
O: 0.833 0.417 0.417
O: 0.833 0.417 0.833
O: 0.833 0.833 0.417
O: 0.875 0.875 0.875

Most intense lines, 2θ = 10–80°, in order of rising 2θ:
2θ 28.7, I 100
2θ 33.3, I 33
2θ 47.8, I 49
2θ 56.7, I 45
2θ 77.3, I 19
2θ 79.7, I 15


Structure and computed X-ray diffraction stick pattern of Sr2PrSnO6 (a structure optimized by DFT (PBE); Cu Kα (weighted mean of Kα1 and Kα2)).

a = 6.158 Å, b = 6.158 Å, c = 6.158 Å
α = 60.00°, β = 60.00°, γ = 60.00°
Element x y z (fractional)
Sr: 0.250 0.250 0.250
Sr: 0.750 0.750 0.750
Pr: 0.000 0.000 0.000
Sn: 0.500 0.500 0.500
O: 0.264 0.264 0.736
O: 0.264 0.736 0.264
O: 0.264 0.736 0.736
O: 0.736 0.264 0.264
O: 0.736 0.264 0.736
O: 0.736 0.736 0.264

Most intense lines, 2θ = 10–80°, in order of rising 2θ:
2θ 20.4, I 11
2θ 29.0, I 100
2θ 41.5, I 33
2θ 51.4, I 42
2θ 60.1, I 21
2θ 68.1, I 19


Structure and computed X-ray diffraction stick pattern of Sr2PrSnO6 (a structure optimized by DFT (PBE); Cu Kα (weighted mean of Kα1 and Kα2)).

a = 8.633 Å, b = 8.633 Å, c = 8.633 Å
α = 90.00°, β = 90.00°, γ = 90.00°
Element x y z (fractional)
Sr: 0.250 0.250 0.250
Sr: 0.250 0.250 0.750
Sr: 0.250 0.750 0.250
Sr: 0.250 0.750 0.750
Sr: 0.750 0.250 0.250
Sr: 0.750 0.250 0.750
Sr: 0.750 0.750 0.250
Sr: 0.750 0.750 0.750
Pr: 0.000 0.000 0.000
Pr: 0.000 0.500 0.500
Pr: 0.500 0.000 0.500
Pr: 0.500 0.500 0.000
Sn: 0.000 0.000 0.500
Sn: 0.000 0.500 0.000
Sn: 0.500 0.000 0.000
Sn: 0.500 0.500 0.500
O: 0.038 0.546 0.766
O: 0.038 0.954 0.734
O: 0.046 0.234 0.538
O: 0.046 0.266 0.962
O: 0.234 0.538 0.046
O: 0.234 0.962 0.454
O: 0.266 0.538 0.454
O: 0.266 0.962 0.046
O: 0.454 0.234 0.962
O: 0.454 0.266 0.538
O: 0.462 0.546 0.734
O: 0.462 0.954 0.766
O: 0.538 0.046 0.234
O: 0.538 0.454 0.266
O: 0.546 0.734 0.462
O: 0.546 0.766 0.038
O: 0.734 0.038 0.954
O: 0.734 0.462 0.546
O: 0.766 0.038 0.546
O: 0.766 0.462 0.954
O: 0.954 0.734 0.038
O: 0.954 0.766 0.462
O: 0.962 0.046 0.266
O: 0.962 0.454 0.234

Most intense lines, 2θ = 10–80°, in order of rising 2θ:
2θ 20.6, I 9
2θ 29.3, I 100
2θ 41.9, I 29
2θ 51.9, I 47
2θ 60.7, I 17
2θ 68.8, I 19


Structure and computed X-ray diffraction stick pattern of PrZnSn2O6 (a structure optimized by DFT (PBE); Cu Kα (weighted mean of Kα1 and Kα2)).

a = 8.173 Å, b = 6.140 Å, c = 5.580 Å
α = 90.00°, β = 90.00°, γ = 90.00°
Element x y z (fractional)
Pr: 0.000 0.171 0.000
Pr: 0.500 0.829 0.500
Zn: 0.000 0.871 0.494
Zn: 0.500 0.129 0.994
Sn: 0.244 0.717 0.979
Sn: 0.256 0.283 0.479
Sn: 0.744 0.283 0.479
Sn: 0.756 0.717 0.979
O: 0.000 0.236 0.577
O: 0.000 0.786 0.837
O: 0.188 0.944 0.275
O: 0.194 0.425 0.147
O: 0.306 0.575 0.647
O: 0.312 0.056 0.775
O: 0.500 0.214 0.337
O: 0.500 0.764 0.077
O: 0.688 0.056 0.775
O: 0.694 0.575 0.647
O: 0.806 0.425 0.147
O: 0.812 0.944 0.275

Most intense lines, 2θ = 10–80°, in order of rising 2θ:
2θ 29.1, I 17
2θ 30.8, I 100
2θ 32.1, I 26
2θ 33.3, I 21
2θ 44.3, I 16
2θ 56.4, I 24


Structure and computed X-ray diffraction stick pattern of Sr2PrO4 (a structure optimized by DFT (PBE); Cu Kα (weighted mean of Kα1 and Kα2)).

a = 6.282 Å, b = 10.388 Å, c = 3.735 Å
α = 90.00°, β = 90.00°, γ = 90.00°
Element x y z (fractional)
Sr: 0.064 0.177 0.000
Sr: 0.436 0.677 0.000
Sr: 0.564 0.323 0.000
Sr: 0.936 0.823 0.000
Pr: 0.000 0.500 0.500
Pr: 0.500 0.000 0.500
O: 0.152 0.706 0.500
O: 0.237 0.456 0.000
O: 0.263 0.956 0.000
O: 0.348 0.206 0.500
O: 0.652 0.794 0.500
O: 0.737 0.044 0.000
O: 0.763 0.544 0.000
O: 0.848 0.294 0.500

Most intense lines, 2θ = 10–80°, in order of rising 2θ:
2θ 16.5, I 21
2θ 28.4, I 22
2θ 29.1, I 81
2θ 29.5, I 100
2θ 41.4, I 42
2θ 52.5, I 26


Structure and computed X-ray diffraction stick pattern of Sr2PrTaO6 (a structure optimized by DFT (PBE); Cu Kα (weighted mean of Kα1 and Kα2)).

a = 6.106 Å, b = 6.106 Å, c = 6.106 Å
α = 60.00°, β = 60.00°, γ = 60.00°
Element x y z (fractional)
Sr: 0.250 0.250 0.250
Sr: 0.750 0.750 0.750
Pr: 0.000 0.000 0.000
Ta: 0.500 0.500 0.500
O: 0.269 0.269 0.731
O: 0.269 0.731 0.269
O: 0.269 0.731 0.731
O: 0.731 0.269 0.269
O: 0.731 0.269 0.731
O: 0.731 0.731 0.269

Most intense lines, 2θ = 10–80°, in order of rising 2θ:
2θ 20.6, I 18
2θ 29.3, I 100
2θ 41.8, I 30
2θ 51.9, I 41
2θ 60.7, I 19
2θ 68.8, I 19